Calculated X-ray diffraction stick pattern
Compound: Li2AlNiO4
Radiation: Cu Kα X-rays
Structure: a structure optimized by DFT (PBE+U)
Neutral-atom scattering factors, no anomalous dispersion.

Principal peaks in the range 2θ = 15–90°, in order of rising 2θ:
21.6°, 4.116 Å, rel. 84, (0 1 1); 22.6°, 3.933 Å, rel. 100, (1 0 -2); 28.1°, 3.176 Å, rel. 25, (1 1 0); 32.6°, 2.746 Å, rel. 51, (0 1 2); 33.3°, 2.693 Å, rel. 30, (0 2 0); 36.0°, 2.496 Å, rel. 47, (2 0 -2); 37.4°, 2.406 Å, rel. 40, (1 1 1); 59.0°, 1.565 Å, rel. 31, (0 3 2); 65.6°, 1.423 Å, rel. 27, (3 1 -1); 71.1°, 1.326 Å, rel. 19, (2 3 -4)

Structure:
Cell: 4.9926 5.3855 8.1015 Å, 90.00 128.00 90.00°
Space group Pc (No. 7)
One atom of each set of equivalent atoms:
Li: 0.0000 0.1672 0.0000
Li: 0.2509 0.3333 0.7517
Al: 0.4951 0.1713 0.5019
Ni: 0.7428 0.3299 0.2477
O: 0.1239 0.1842 0.4879
O: 0.3928 0.3131 0.2710
O: 0.6115 0.1452 0.0144
O: 0.8265 0.3381 0.7299